1.
Diffraction record for NiTeH. The X-ray powder pattern is calculated, not measured: it uses DFT lattice parameters and positions (GGA-PBE) and Cu Kα.

Top 8 peaks for 2θ = 10–90°, in order of rising 2θ:
17.70 deg, rel. 64
27.94 deg, rel. 36
28.20 deg, rel. 72
30.89 deg, rel. 44
36.11 deg, rel. 33
37.47 deg, rel. 100
45.44 deg, rel. 56
46.63 deg, rel. 31

Atomic structure:
a b c (Å): 6.600 6.600 5.524
angles (deg): 114.22 114.22 26.17
Element x y z (fractional)
Ni: 0.246 0.246 0.307
Ni: 0.754 0.754 0.693
Te: 0.391 0.391 0.086
Te: 0.609 0.609 0.914
H: 0.191 0.191 0.532
H: 0.809 0.809 0.468

2.
Diffraction record for NiTe2H. The X-ray powder pattern is calculated, not measured: it uses DFT lattice parameters and positions (GGA-PBE) and Cu Kα.

Top 8 peaks for 2θ = 10–90°, in order of rising 2θ:
13.48 deg, rel. 73
26.48 deg, rel. 39
27.64 deg, rel. 37
31.88 deg, rel. 24
34.76 deg, rel. 100
46.02 deg, rel. 46
53.71 deg, rel. 29
58.94 deg, rel. 21

Atomic structure:
a b c (Å): 6.951 6.951 6.951
angles (deg): 32.96 32.96 32.96
Element x y z (fractional)
Ni: 0.000 0.000 0.000
Te: 0.399 0.399 0.399
Te: 0.601 0.601 0.601
H: 0.500 0.500 0.500